For WSeS3Br, a structure optimized by DFT (PBE) gives the calculated powder XRD pattern in this record (Cu Kα).
Neutral-atom scattering factors, no anomalous dispersion.

Main lines, by angle (2θ from 10° to 90°):
| 2θ (°) | intensity |
| --- | --- |
| 12.82 | 100 |
| 13.50 | 51 |
| 13.97 | 85 |
| 23.28 | 18 |
| 24.42 | 27 |
| 28.16 | 16 |
| 33.30 | 12 |
| 36.55 | 21 |
| 41.29 | 19 |
| 41.68 | 15 |

Cell and atoms:
```
WSeS3Br
1.0
6.2124 0.0000 0.0000
-3.1029 7.2963 0.0000
-2.2287 -3.3605 6.9049
W Se S Br
2 2 6 2
direct
0.2260 0.9998 0.9995
0.7740 0.0002 0.0005
0.2827 0.7474 0.7453
0.7173 0.2526 0.2547
0.1800 0.2999 0.0832
0.1819 0.1570 0.2861
0.4673 0.0791 0.7980
0.5327 0.9209 0.2020
0.8181 0.8430 0.7139
0.8200 0.7001 0.9168
0.0958 0.3646 0.7605
0.9042 0.6354 0.2395
```

For WSeS3Br, a structure optimized by DFT (PBE) gives the calculated powder XRD pattern in this record (Cu Kα).
Neutral-atom scattering factors, no anomalous dispersion.

Main lines, by angle (2θ from 10° to 90°):
| 2θ (°) | intensity |
| --- | --- |
| 13.05 | 100 |
| 13.33 | 32 |
| 13.50 | 42 |
| 23.08 | 15 |
| 23.55 | 17 |
| 31.43 | 14 |
| 35.31 | 22 |
| 41.25 | 10 |
| 44.57 | 11 |
| 49.01 | 16 |

Cell and atoms:
```
WSeS3Br
1.0
6.1786 0.0000 0.0000
-0.8395 7.8131 0.0000
-2.2510 -4.0624 6.5583
W Se S Br
2 2 6 2
direct
0.2256 0.0000 0.9997
0.7744 0.0000 0.0003
0.1286 0.3159 0.2351
0.8714 0.6841 0.7649
0.0303 0.8466 0.1387
0.3941 0.9409 0.7300
0.4744 0.7722 0.0156
0.5256 0.2278 0.9844
0.6059 0.0591 0.2700
0.9697 0.1534 0.8613
0.2680 0.3659 0.5978
0.7320 0.6341 0.4022
```

For Zr2SeSBr2, a structure optimized by DFT (PBE) gives the calculated powder XRD pattern in this record (Cu Kα).
Neutral-atom scattering factors, no anomalous dispersion.

Main lines, by angle (2θ from 10° to 90°):
| 2θ (°) | intensity |
| --- | --- |
| 10.27 | 100 |
| 19.91 | 48 |
| 31.20 | 29 |
| 31.68 | 95 |
| 34.42 | 46 |
| 36.17 | 24 |
| 39.57 | 21 |
| 45.59 | 18 |
| 47.47 | 59 |
| 53.43 | 18 |

Cell and atoms:
```
Zr2SeSBr2
1.0
3.7421 0.0000 0.0000
0.0000 5.2112 0.0000
0.0000 0.0000 8.6107
Zr Se S Br
2 1 1 2
direct
0.0000 0.0000 0.0000
0.5000 0.5000 0.1866
0.5000 0.0000 0.2314
0.0000 0.5000 0.9776
0.0000 0.5000 0.4235
0.5000 0.0000 0.7672
```

For SmTmS2Br2, a structure optimized by DFT (PBE) gives the calculated powder XRD pattern in this record (Cu Kα).
Neutral-atom scattering factors, no anomalous dispersion.

Main lines, by angle (2θ from 10° to 90°):
| 2θ (°) | intensity |
| --- | --- |
| 19.16 | 80 |
| 29.14 | 100 |
| 33.42 | 26 |
| 39.15 | 11 |
| 40.38 | 36 |
| 44.16 | 12 |
| 44.94 | 41 |
| 48.55 | 14 |
| 52.56 | 10 |
| 56.49 | 11 |

Cell and atoms:
```
SmTmS2Br2
1.0
4.1016 0.0000 0.0000
0.0000 5.3623 0.0000
0.0000 0.0000 9.2048
Sm Tm S Br
1 1 2 2
direct
0.0000 0.0000 0.0000
0.5000 0.5000 0.7413
0.0000 0.5000 0.9340
0.5000 0.0000 0.7920
0.0000 0.5000 0.5330
0.5000 0.0000 0.2209
```

For Ta4S9Br8, a structure optimized by DFT (PBE) gives the calculated powder XRD pattern in this record (Cu Kα).
Neutral-atom scattering factors, no anomalous dispersion.

Main lines, by angle (2θ from 10° to 90°):
| 2θ (°) | intensity |
| --- | --- |
| 13.97 | 100 |
| 19.12 | 45 |
| 24.59 | 14 |
| 27.42 | 20 |
| 30.68 | 22 |
| 36.40 | 33 |
| 41.27 | 15 |
| 43.77 | 14 |
| 45.07 | 24 |
| 51.43 | 17 |

Cell and atoms:
```
Ta4S9Br8
1.0
-6.5632 6.5632 3.6203
6.5632 -6.5632 3.6203
6.5632 6.5632 -3.6203
Ta S Br
4 9 8
direct
0.0000 0.1794 0.1794
0.0000 0.8206 0.8206
0.1794 0.0000 0.1794
0.8206 0.0000 0.8206
0.1038 0.1038 0.7343
0.1038 0.3695 0.0000
0.1892 0.1892 0.3859
0.1892 0.8032 0.0000
0.3695 0.1038 0.0000
0.3695 0.3695 0.2657
0.8032 0.1892 0.0000
0.8032 0.8032 0.6141
0.8925 0.8925 0.0000
0.1385 0.4924 0.3540
0.1385 0.7845 0.6460
0.4362 0.6663 0.7699
0.4924 0.1385 0.3540
0.6663 0.4362 0.7699
0.6663 0.8963 0.2301
0.7845 0.1385 0.6460
0.8963 0.6663 0.2301
```

For Te3WSBr, a structure optimized by DFT (PBE) gives the calculated powder XRD pattern in this record (Cu Kα).
Neutral-atom scattering factors, no anomalous dispersion.

Main lines, by angle (2θ from 10° to 90°):
| 2θ (°) | intensity |
| --- | --- |
| 12.26 | 51 |
| 12.41 | 100 |
| 12.93 | 70 |
| 26.02 | 29 |
| 28.22 | 26 |
| 32.63 | 18 |
| 33.13 | 19 |
| 34.71 | 30 |
| 39.75 | 20 |
| 46.02 | 22 |

Cell and atoms:
```
Te3WSBr
1.0
6.5987 0.0000 0.0000
0.9304 7.9913 0.0000
3.2945 3.6434 7.2186
Te W S Br
6 2 2 2
direct
0.0341 0.3292 0.3394
0.1288 0.8987 0.2712
0.3823 0.7952 0.7954
0.6177 0.2048 0.2046
0.8712 0.1013 0.7288
0.9659 0.6708 0.6606
0.2239 0.9996 0.5005
0.7761 0.0004 0.4995
0.4729 0.2228 0.4912
0.5271 0.7772 0.5088
0.2653 0.2251 0.9130
0.7347 0.7749 0.0870
```